Structure and calculated powder diffractogram of EuHo2O4 (a cell relaxed with PBE; CuKα).
Kinematic intensities with the Lorentz-polarization factor, no thermal factor.

Top 8 peaks for 2θ = 10–80°, sorted by position:
- 2θ 30.0, rel. 48, hkl 0 0 4
- 2θ 30.7, rel. 100, hkl 3 0 2
- 2θ 31.6, rel. 67, hkl 1 1 2
- 2θ 31.8, rel. 31, hkl 2 1 0
- 2θ 35.9, rel. 20, hkl 1 1 3
- 2θ 44.3, rel. 37, hkl 2 1 4
- 2θ 55.0, rel. 29, hkl 6 0 0
- 2θ 63.3, rel. 26, hkl 3 2 2

Cell and atoms:
```
data_EuHo2O4
_chemical_formula_sum 'Eu4 Ho8 O16'
_symmetry_space_group_name_H-M 'P n m a'
_symmetry_Int_Tables_number 62
_cell_length_a 10.0194
_cell_length_b 3.4013
_cell_length_c 11.9133
_cell_angle_alpha 90.00
_cell_angle_beta 90.00
_cell_angle_gamma 90.00
loop_
_symmetry_equiv_pos_as_xyz
'x,y,z'
'-x,-y,-z'
'-x+1/2,-y,z+1/2'
'x+1/2,y,-z+1/2'
'x+1/2,-y+1/2,-z+1/2'
'-x+1/2,y+1/2,z+1/2'
'-x,y+1/2,-z'
'x,-y+1/2,z'
loop_
_atom_site_label
_atom_site_type_symbol
_atom_site_fract_x
_atom_site_fract_y
_atom_site_fract_z
_atom_site_occupancy
Eu1 Eu 0.2490 0.2500 0.1489 1
Ho1 Ho 0.0759 0.2500 0.8889 1
Ho2 Ho 0.0787 0.2500 0.3881 1
O1 O 0.0141 0.7500 0.7833 1
O2 O 0.0759 0.2500 0.5781 1
O3 O 0.1272 0.7500 0.0199 1
O4 O 0.2123 0.7500 0.3241 1
```